(1)
Starting from a crystal structure in Alexandria, relaxed with PBE, the powder XRD pattern of Dy2YTm5Th was calculated for Cu Kα (λ = 1.5418 Å).
Neutral-atom scattering factors, no anomalous dispersion.

Structure:
```
Dy2YTm5Th
1.0
-4.365 4.365 7.390
4.365 -4.365 7.390
4.365 4.365 -7.390
Dy Y Tm Th
4 2 10 2
direct
0.114 0.614 0.727 Dy
0.386 0.114 0.500 Dy
0.614 0.886 0.500 Dy
0.886 0.386 0.273 Dy
0.250 0.750 0.500 Y
0.750 0.250 0.500 Y
0.000 0.000 0.000 Tm
0.074 0.155 0.500 Tm
0.155 0.655 0.080 Tm
0.345 0.426 0.500 Tm
0.426 0.926 0.080 Tm
0.500 0.500 0.000 Tm
0.574 0.074 0.920 Tm
0.655 0.574 0.500 Tm
0.845 0.345 0.920 Tm
0.926 0.845 0.500 Tm
0.250 0.250 0.000 Th
0.750 0.750 0.000 Th
```

The 8 most intense peaks (10° ≤ 2θ ≤ 90°), in order of falling intensity:
- 2θ = 31.73°, intensity 100
- 2θ = 28.92°, intensity 53
- 2θ = 29.18°, intensity 46
- 2θ = 32.43°, intensity 23
- 2θ = 43.18°, intensity 22
- 2θ = 53.05°, intensity 22
- 2θ = 37.64°, intensity 19
- 2θ = 58.20°, intensity 13

=====

(2)
Starting from a crystal structure in Alexandria, relaxed with PBE, the powder XRD pattern of DyY3TmTh was calculated for Cu Kα (λ = 1.5418 Å).
Neutral-atom scattering factors, no anomalous dispersion.

Structure:
```
DyY3TmTh
1.0
9.559 0.000 0.000
0.000 3.580 0.000
-3.033 0.000 11.283
Dy Y Tm Th
2 6 2 2
direct
0.079 0.250 0.354 Dy
0.921 0.750 0.646 Dy
0.141 0.750 0.101 Y
0.203 0.250 0.848 Y
0.271 0.750 0.607 Y
0.729 0.250 0.393 Y
0.797 0.750 0.152 Y
0.859 0.250 0.899 Y
0.466 0.250 0.120 Tm
0.534 0.750 0.880 Tm
0.414 0.750 0.368 Th
0.586 0.250 0.632 Th
```

The 8 most intense peaks (10° ≤ 2θ ≤ 90°), in order of falling intensity:
- 2θ = 32.43°, intensity 100
- 2θ = 31.71°, intensity 61
- 2θ = 29.79°, intensity 48
- 2θ = 32.07°, intensity 46
- 2θ = 31.35°, intensity 36
- 2θ = 33.09°, intensity 31
- 2θ = 61.76°, intensity 25
- 2θ = 51.00°, intensity 20

=====

(3)
Starting from a crystal structure in Alexandria, relaxed with PBE, the powder XRD pattern of DyY6Th4 was calculated for Cu Kα (λ = 1.5418 Å).
Neutral-atom scattering factors, no anomalous dispersion.

Structure:
```
DyY6Th4
1.0
2.868 -4.829 0.000
2.868 4.829 0.000
0.000 0.000 25.997
Dy Y Th
2 12 8
direct
0.191 0.809 0.750 Dy
0.809 0.191 0.250 Dy
0.143 0.857 0.181 Y
0.143 0.857 0.319 Y
0.185 0.815 0.604 Y
0.185 0.815 0.896 Y
0.473 0.527 0.250 Y
0.500 0.500 0.000 Y
0.500 0.500 0.500 Y
0.527 0.473 0.750 Y
0.815 0.185 0.104 Y
0.815 0.185 0.396 Y
0.857 0.143 0.681 Y
0.857 0.143 0.819 Y
0.157 0.843 0.046 Th
0.157 0.843 0.454 Th
0.474 0.526 0.123 Th
0.474 0.526 0.377 Th
0.526 0.474 0.623 Th
0.526 0.474 0.877 Th
0.843 0.157 0.546 Th
0.843 0.157 0.954 Th
```

The 8 most intense peaks (10° ≤ 2θ ≤ 90°), in order of falling intensity:
- 2θ = 31.88°, intensity 100
- 2θ = 31.18°, intensity 61
- 2θ = 30.12°, intensity 54
- 2θ = 33.01°, intensity 53
- 2θ = 30.36°, intensity 43
- 2θ = 55.96°, intensity 39
- 2θ = 44.08°, intensity 31
- 2θ = 22.63°, intensity 22

=====

> Which formula does entry 3 have?

DyY6Th4

=====

> Which formula does entry 3 have?

DyY6Th4